Entry 1:
CsHo2Cu3Te5: calculated X-ray powder pattern (Cu Kα, 1.54184 Å), based on a PBE-relaxed structure.
No peak broadening, texture or thermal motion is included.

Atomic structure:
```
CsHo2Cu3Te5
1.0
2.1864 -7.7680 0.0000
2.1864 7.7680 0.0000
0.0000 0.0000 18.3847
Cs Ho Cu Te
2 4 6 10
direct
0.0568 0.9432 0.7500
0.9432 0.0568 0.2500
0.1921 0.8079 0.0901
0.1921 0.8079 0.4099
0.8079 0.1921 0.5901
0.8079 0.1921 0.9099
0.3435 0.6565 0.7500
0.4157 0.5843 0.0256
0.4157 0.5843 0.4744
0.5843 0.4157 0.5256
0.5843 0.4157 0.9744
0.6565 0.3435 0.2500
0.1649 0.8351 0.5724
0.1649 0.8351 0.9276
0.2427 0.7573 0.2500
0.4418 0.5582 0.6155
0.4418 0.5582 0.8845
0.5582 0.4418 0.1155
0.5582 0.4418 0.3845
0.7573 0.2427 0.7500
0.8351 0.1649 0.0724
0.8351 0.1649 0.4276
```

The 10 most intense peaks (10° ≤ 2θ ≤ 80°), sorted by position:
2theta, intensity
26.7, 62.3
27.1, 100.0
28.4, 59.6
29.1, 66.7
33.1, 55.4
35.4, 37.4
39.9, 34.0
41.3, 55.8
43.8, 54.3
51.3, 27.4

Entry 2:
Cs2Ho4Cu4Te9: calculated X-ray powder pattern (Cu Kα, 1.54184 Å), based on a PBE-relaxed structure.
No peak broadening, texture or thermal motion is included.

Atomic structure:
```
Cs2Ho4Cu4Te9
1.0
7.7960 -2.1954 0.0000
7.7960 2.1954 0.0000
-5.4811 0.0000 16.8282
Cs Ho Cu Te
2 4 4 9
direct
0.0336 0.0336 0.2747
0.9664 0.9664 0.7253
0.2275 0.2275 0.0998
0.3468 0.3468 0.4438
0.6532 0.6532 0.5562
0.7725 0.7725 0.9002
0.2491 0.2491 0.7359
0.4230 0.4230 0.0262
0.5770 0.5770 0.9738
0.7509 0.7509 0.2641
0.0000 0.0000 0.5000
0.1372 0.1372 0.9221
0.2942 0.2942 0.6000
0.3443 0.3443 0.2732
0.3974 0.3974 0.8730
0.6026 0.6026 0.1270
0.6557 0.6557 0.7268
0.7058 0.7058 0.4000
0.8628 0.8628 0.0779
```

The 10 most intense peaks (10° ≤ 2θ ≤ 80°), sorted by position:
2theta, intensity
11.9, 45.7
25.5, 38.9
26.5, 88.8
27.1, 100.0
27.2, 56.1
28.8, 71.7
35.6, 42.1
38.4, 43.9
41.1, 77.1
41.8, 36.4

Entry 3:
Cs3KCu2P2: calculated X-ray powder pattern (Cu Kα, 1.54184 Å), based on a PBE-relaxed structure.
No peak broadening, texture or thermal motion is included.

Atomic structure:
```
Cs3KCu2P2
1.0
6.5320 0.0000 0.0000
0.0000 6.1540 0.0000
-2.1914 0.0000 6.2184
Cs K Cu P
3 1 2 2
direct
0.0000 0.0000 0.0000
0.0488 0.5000 0.3682
0.7025 0.5000 0.7017
0.3412 0.0000 0.6727
0.5197 0.2509 0.1769
0.5197 0.7491 0.1769
0.3045 0.5000 0.9577
0.7190 0.0000 0.4060
```

The 10 most intense peaks (10° ≤ 2θ ≤ 80°), sorted by position:
2theta, intensity
20.3, 26.3
27.5, 27.7
27.7, 100.0
29.0, 27.8
31.2, 44.5
31.4, 39.2
32.5, 39.3
33.6, 20.7
53.3, 17.6
53.7, 19.4

Entry 4:
CsK2Cu3P2: calculated X-ray powder pattern (Cu Kα, 1.54184 Å), based on a PBE-relaxed structure.
No peak broadening, texture or thermal motion is included.

Atomic structure:
```
CsK2Cu3P2
1.0
2.9173 1.6843 6.7658
-2.9173 1.6843 6.7658
0.0000 -3.3686 6.7658
Cs K Cu P
1 2 3 2
direct
0.0000 0.0000 0.0000
0.4097 0.4097 0.4097
0.5903 0.5903 0.5903
0.0000 0.0000 0.5000
0.0000 0.5000 0.0000
0.5000 0.0000 0.0000
0.2407 0.2407 0.2407
0.7593 0.7593 0.7593
```

The 10 most intense peaks (10° ≤ 2θ ≤ 80°), sorted by position:
2theta, intensity
18.1, 57.1
28.2, 100.0
30.6, 38.3
33.4, 57.1
35.7, 31.7
36.7, 54.4
39.9, 52.6
51.0, 31.9
53.0, 31.4
63.8, 23.1

Entry 5:
Cs2KRb2CuSb2: calculated X-ray powder pattern (Cu Kα, 1.54184 Å), based on a PBE-relaxed structure.
No peak broadening, texture or thermal motion is included.

Atomic structure:
```
Cs2KRb2CuSb2
1.0
3.1782 1.8349 9.8280
-3.1782 1.8349 9.8280
0.0000 -3.6699 9.8280
Cs K Rb Cu Sb
2 1 2 1 2
direct
0.2159 0.2159 0.2159
0.7841 0.7841 0.7841
0.5000 0.5000 0.5000
0.3617 0.3617 0.3617
0.6383 0.6383 0.6383
0.0000 0.0000 0.0000
0.0849 0.0849 0.0849
0.9151 0.9151 0.9151
```

The 10 most intense peaks (10° ≤ 2θ ≤ 80°), sorted by position:
2theta, intensity
16.4, 18.7
26.6, 67.0
28.1, 100.0
39.1, 23.7
39.5, 10.5
46.2, 15.6
48.8, 24.7
49.7, 19.9
58.0, 12.4
62.8, 12.4

Entry 6:
Cs2KRb2CuSb2: calculated X-ray powder pattern (Cu Kα, 1.54184 Å), based on a PBE-relaxed structure.
No peak broadening, texture or thermal motion is included.

Atomic structure:
```
Cs2KRb2CuSb2
1.0
3.1723 1.8315 9.6778
-3.1723 1.8315 9.6778
0.0000 -3.6630 9.6778
Cs K Rb Cu Sb
2 1 2 1 2
direct
0.1390 0.1390 0.1390
0.8610 0.8610 0.8610
0.0000 0.0000 0.0000
0.2847 0.2847 0.2847
0.7153 0.7153 0.7153
0.5000 0.5000 0.5000
0.4125 0.4125 0.4125
0.5875 0.5875 0.5875
```

The 10 most intense peaks (10° ≤ 2θ ≤ 80°), sorted by position:
2theta, intensity
26.9, 62.1
28.1, 100.0
37.8, 11.8
39.3, 22.1
46.8, 12.4
49.1, 23.1
49.8, 19.9
58.2, 12.4
63.4, 9.8
65.2, 9.8

Entry 7:
Cs2K2RbCuSb2: calculated X-ray powder pattern (Cu Kα, 1.54184 Å), based on a PBE-relaxed structure.
No peak broadening, texture or thermal motion is included.

Atomic structure:
```
Cs2K2RbCuSb2
1.0
3.1326 1.8086 9.8732
-3.1326 1.8086 9.8732
0.0000 -3.6172 9.8732
Cs K Rb Cu Sb
2 2 1 1 2
direct
0.2172 0.2172 0.2172
0.7828 0.7828 0.7828
0.3641 0.3641 0.3641
0.6359 0.6359 0.6359
0.5000 0.5000 0.5000
0.0000 0.0000 0.0000
0.0840 0.0840 0.0840
0.9160 0.9160 0.9160
```

The 10 most intense peaks (10° ≤ 2θ ≤ 80°), sorted by position:
2theta, intensity
16.6, 23.7
26.7, 67.4
28.5, 100.0
34.5, 13.9
39.5, 23.2
46.0, 16.0
49.4, 23.9
50.5, 19.6
59.0, 12.1
63.1, 12.2

Entry 8:
Cs2K2RbCuSb2: calculated X-ray powder pattern (Cu Kα, 1.54184 Å), based on a PBE-relaxed structure.
No peak broadening, texture or thermal motion is included.

Atomic structure:
```
Cs2K2RbCuSb2
1.0
3.1233 1.8032 9.5461
-3.1233 1.8032 9.5461
0.0000 -3.6065 9.5461
Cs K Rb Cu Sb
2 2 1 1 2
direct
0.1392 0.1392 0.1392
0.8608 0.8608 0.8608
0.2847 0.2847 0.2847
0.7153 0.7153 0.7153
0.0000 0.0000 0.0000
0.5000 0.5000 0.5000
0.4111 0.4111 0.4111
0.5889 0.5889 0.5889
```

The 10 most intense peaks (10° ≤ 2θ ≤ 80°), sorted by position:
2theta, intensity
20.6, 13.5
27.3, 57.5
28.6, 100.0
29.9, 12.7
38.4, 14.6
40.0, 20.2
49.9, 21.0
50.6, 19.6
56.4, 12.6
59.2, 12.1